Entry 1:
Simulated X-ray powder pattern of La4Nd3Hg3N2 for λ = 1.5418 Å (Cu Kα), from a structure optimized by DFT (GGA-PBE).
Peak positions follow from Bragg's law for the DFT cell and can differ from measured ones.

Main lines, sorted by position (5° ≤ 2θ ≤ 70°):
- 24.5 deg, d = 3.635 Å, I 14
- 28.4 deg, d = 3.143 Å, I 40
- 32.7 deg, d = 2.741 Å, I 100
- 34.8 deg, d = 2.576 Å, I 32
- 35.0 deg, d = 2.564 Å, I 32
- 35.9 deg, d = 2.503 Å, I 16
- 50.2 deg, d = 1.817 Å, I 23
- 61.1 deg, d = 1.517 Å, I 17
- 61.3 deg, d = 1.512 Å, I 17
- 63.2 deg, d = 1.471 Å, I 12

Crystal structure
a b c (Å): 5.129 5.153 25.035
angles (deg): 90.00 90.00 90.00
Space group Immm (No. 71)
Asymmetric unit:
La: 0.000 0.000 0.096 [4 per cell]
La: 0.000 0.500 0.199 [4 per cell]
Nd: 0.000 0.000 0.404 [4 per cell]
Nd: 0.000 0.500 0.000 [2 per cell]
Hg: 0.000 0.500 0.326 [4 per cell]
Hg: 0.000 0.500 0.500 [2 per cell]
N: 0.000 0.500 0.102 [4 per cell]

---

Entry 2:
Simulated X-ray powder pattern of LiNi3Cl8 for λ = 1.5418 Å (Cu Kα), from a structure optimized by DFT (GGA-PBE).
Peak positions follow from Bragg's law for the DFT cell and can differ from measured ones.

Main lines, sorted by position (5° ≤ 2θ ≤ 70°):
- 14.2 deg, d = 6.258 Å, I 100
- 15.4 deg, d = 5.739 Å, I 12
- 30.0 deg, d = 2.982 Å, I 19
- 35.2 deg, d = 2.548 Å, I 56
- 35.6 deg, d = 2.524 Å, I 28
- 45.0 deg, d = 2.013 Å, I 17
- 48.8 deg, d = 1.867 Å, I 8
- 49.4 deg, d = 1.847 Å, I 16
- 52.5 deg, d = 1.744 Å, I 25
- 65.0 deg, d = 1.435 Å, I 8

Crystal structure
a b c (Å): 12.088 6.975 7.492
angles (deg): 90.00 123.36 90.00
Space group C2/m (No. 12)
Asymmetric unit:
Li: 0.000 0.000 0.000 [2 per cell]
Ni: 0.000 0.500 0.000 [2 per cell]
Ni: 0.250 0.250 0.000 [4 per cell]
Cl: 0.018 0.264 0.796 [8 per cell]
Cl: 0.241 0.500 0.219 [4 per cell]
Cl: 0.246 0.000 0.204 [4 per cell]

---

Entry 3:
Simulated X-ray powder pattern of Zn3W for λ = 1.5418 Å (Cu Kα), from a structure optimized by DFT (GGA-PBE).
Peak positions follow from Bragg's law for the DFT cell and can differ from measured ones.

Main lines, sorted by position (5° ≤ 2θ ≤ 70°):
- 19.7 deg, d = 4.497 Å, I 45
- 22.0 deg, d = 4.032 Å, I 17
- 38.5 deg, d = 2.336 Å, I 17
- 39.8 deg, d = 2.262 Å, I 100
- 40.1 deg, d = 2.249 Å, I 98
- 45.0 deg, d = 2.016 Å, I 35
- 47.2 deg, d = 1.924 Å, I 61
- 67.3 deg, d = 1.392 Å, I 41
- 68.7 deg, d = 1.367 Å, I 10
- 69.4 deg, d = 1.355 Å, I 9

Crystal structure
a b c (Å): 5.418 8.065 2.733
angles (deg): 90.00 90.00 90.00
Space group Cmmm (No. 65)
Asymmetric unit:
Zn: 0.000 0.000 0.000 [2 per cell]
Zn: 0.250 0.250 0.500 [4 per cell]
W: 0.000 0.500 0.000 [2 per cell]

---

Entry 4:
Simulated X-ray powder pattern of Te2PtCN for λ = 1.5418 Å (Cu Kα), from a structure optimized by DFT (GGA-PBE).
Peak positions follow from Bragg's law for the DFT cell and can differ from measured ones.

Main lines, sorted by position (5° ≤ 2θ ≤ 70°):
- 14.9 deg, d = 5.958 Å, I 63
- 30.0 deg, d = 2.979 Å, I 100
- 33.6 deg, d = 2.665 Å, I 19
- 37.4 deg, d = 2.406 Å, I 18
- 40.4 deg, d = 2.231 Å, I 81
- 42.9 deg, d = 2.107 Å, I 37
- 48.6 deg, d = 1.872 Å, I 18
- 60.4 deg, d = 1.532 Å, I 49
- 62.3 deg, d = 1.490 Å, I 12
- 66.9 deg, d = 1.399 Å, I 7

Crystal structure
a b c (Å): 5.958 5.958 2.630
angles (deg): 90.00 90.00 90.00
Space group P4/mmm (No. 123)
Asymmetric unit:
Te: 0.000 0.500 0.000 [2 per cell]
Pt: 0.000 0.000 0.500 [1 per cell]
C: 0.500 0.500 0.000 [1 per cell]
N: 0.500 0.500 0.500 [1 per cell]

---

Entry 5:
Simulated X-ray powder pattern of KRbH2 for λ = 1.5418 Å (Cu Kα), from a structure optimized by DFT (GGA-PBE).
Peak positions follow from Bragg's law for the DFT cell and can differ from measured ones.

Main lines, sorted by position (5° ≤ 2θ ≤ 70°):
- 18.0 deg, d = 4.931 Å, I 19
- 25.5 deg, d = 3.488 Å, I 100
- 31.4 deg, d = 2.849 Å, I 10
- 36.4 deg, d = 2.466 Å, I 84
- 40.9 deg, d = 2.205 Å, I 5
- 45.0 deg, d = 2.014 Å, I 27
- 48.9 deg, d = 1.864 Å, I 6
- 52.5 deg, d = 1.744 Å, I 14
- 59.2 deg, d = 1.560 Å, I 35
- 65.6 deg, d = 1.424 Å, I 27

Crystal structure
a b c (Å): 4.931 4.931 3.490
angles (deg): 90.00 90.00 90.00
Space group P4/mmm (No. 123)
Asymmetric unit:
K: 0.000 0.000 0.000 [1 per cell]
Rb: 0.500 0.500 0.000 [1 per cell]
H: 0.000 0.500 0.500 [2 per cell]

---

Entry 6:
Simulated X-ray powder pattern of SrMg22Ga6 for λ = 1.5418 Å (Cu Kα), from a structure optimized by DFT (GGA-PBE).
Peak positions follow from Bragg's law for the DFT cell and can differ from measured ones.

Main lines, sorted by position (5° ≤ 2θ ≤ 70°):
- 12.8 deg, d = 6.939 Å, I 40
- 21.2 deg, d = 4.184 Å, I 16
- 22.2 deg, d = 4.006 Å, I 39
- 25.7 deg, d = 3.469 Å, I 42
- 33.6 deg, d = 2.671 Å, I 67
- 36.6 deg, d = 2.453 Å, I 100
- 38.9 deg, d = 2.313 Å, I 34
- 43.2 deg, d = 2.092 Å, I 52
- 52.8 deg, d = 1.735 Å, I 15
- 66.0 deg, d = 1.416 Å, I 40

Crystal structure
a b c (Å): 13.877 13.877 13.877
angles (deg): 90.00 90.00 90.00
Space group Fm-3m (No. 225)
Asymmetric unit:
Sr: 0.000 0.000 0.000 [4 per cell]
Mg: 0.000 0.176 0.176 [48 per cell]
Mg: 0.119 0.119 0.381 [32 per cell]
Mg: 0.250 0.250 0.250 [8 per cell]
Ga: 0.000 0.000 0.263 [24 per cell]

---

Entry 7:
Simulated X-ray powder pattern of NbIr2Rh8 for λ = 1.5418 Å (Cu Kα), from a structure optimized by DFT (GGA-PBE).
Peak positions follow from Bragg's law for the DFT cell and can differ from measured ones.

Main lines, sorted by position (5° ≤ 2θ ≤ 70°):
- 14.1 deg, d = 6.292 Å, I 14
- 21.2 deg, d = 4.196 Å, I 13
- 22.2 deg, d = 4.012 Å, I 20
- 35.7 deg, d = 2.517 Å, I 12
- 41.0 deg, d = 2.201 Å, I 90
- 41.6 deg, d = 2.170 Å, I 100
- 43.1 deg, d = 2.098 Å, I 89
- 47.6 deg, d = 1.909 Å, I 11
- 57.0 deg, d = 1.616 Å, I 17
- 62.6 deg, d = 1.483 Å, I 29

Crystal structure
a b c (Å): 8.023 10.140 4.196
angles (deg): 90.00 90.00 90.00
Space group Cmmm (No. 65)
Asymmetric unit:
Nb: 0.000 0.000 0.000 [2 per cell]
Ir: 0.000 0.377 0.500 [4 per cell]
Rh: 0.000 0.250 0.000 [4 per cell]
Rh: 0.166 0.134 0.500 [8 per cell]
Rh: 0.169 0.500 0.000 [4 per cell]

---

Entry 8:
Simulated X-ray powder pattern of K2LiCeCl6 for λ = 1.5418 Å (Cu Kα), from a structure optimized by DFT (GGA-PBE).
Peak positions follow from Bragg's law for the DFT cell and can differ from measured ones.

Main lines, sorted by position (5° ≤ 2θ ≤ 70°):
- 14.5 deg, d = 6.121 Å, I 100
- 14.9 deg, d = 5.940 Å, I 54
- 16.9 deg, d = 5.251 Å, I 61
- 24.0 deg, d = 3.709 Å, I 41
- 24.2 deg, d = 3.681 Å, I 43
- 27.9 deg, d = 3.200 Å, I 59
- 28.4 deg, d = 3.140 Å, I 66
- 28.6 deg, d = 3.118 Å, I 52
- 34.1 deg, d = 2.626 Å, I 81
- 34.5 deg, d = 2.600 Å, I 45

Crystal structure
a b c (Å): 7.290 7.571 12.637
angles (deg): 90.00 124.63 90.00
Space group P2_1/c (No. 14)
Asymmetric unit:
K: 0.229 0.063 0.248 [4 per cell]
Li: 0.000 0.000 0.500 [2 per cell]
Ce: 0.500 0.000 0.000 [2 per cell]
Cl: 0.148 0.207 0.952 [4 per cell]
Cl: 0.248 0.700 0.954 [4 per cell]
Cl: 0.334 0.024 0.742 [4 per cell]